No. 1
Structure and calculated powder diffraction line list of RbCd (a cell relaxed with PBE; Cu Kα).

Atomic structure:
```
RbCd
1.0
0.000 5.965 7.359
4.597 0.000 7.359
4.597 5.965 0.000
Rb Cd
4 4
direct
0.076 0.674 0.076 Rb
0.326 0.924 0.326 Rb
0.674 0.076 0.674 Rb
0.924 0.326 0.924 Rb
0.216 0.534 0.534 Cd
0.466 0.784 0.784 Cd
0.534 0.216 0.216 Cd
0.784 0.466 0.466 Cd
```

Main lines, sorted by position (10 to 90 degrees two-theta):
2θ/deg	I_rel
24.19	100
24.45	67
25.14	77
29.96	30
30.53	47
30.73	52
34.66	54
35.34	36
38.87	29
43.98	42

---

No. 2
Structure and calculated powder diffraction line list of Rb5Cd4 (a cell relaxed with PBE; Cu Kα).

Atomic structure:
```
Rb5Cd4
1.0
6.778 -2.840 0.000
6.778 2.840 0.000
-4.876 0.000 11.859
Rb Cd
5 4
direct
0.000 0.000 0.000 Rb
0.115 0.115 0.400 Rb
0.246 0.246 0.824 Rb
0.754 0.754 0.176 Rb
0.885 0.885 0.600 Rb
0.410 0.410 0.388 Cd
0.453 0.453 0.179 Cd
0.547 0.547 0.821 Cd
0.590 0.590 0.612 Cd
```

Main lines, sorted by position (10 to 90 degrees two-theta):
2θ/deg	I_rel
14.13	25
24.55	83
25.19	100
26.13	53
29.10	43
29.73	38
31.50	58
32.20	35
37.93	29
45.66	27

---

No. 3
Structure and calculated powder diffraction line list of Rb3Cd11 (a cell relaxed with PBE; Cu Kα).

Atomic structure:
```
Rb3Cd11
1.0
-2.591 5.365 7.584
2.591 -5.365 7.584
2.591 5.365 -7.584
Rb Cd
3 11
direct
0.000 0.000 0.000 Rb
0.298 0.298 0.000 Rb
0.702 0.702 0.000 Rb
0.021 0.669 0.352 Cd
0.159 0.870 0.289 Cd
0.305 0.500 0.805 Cd
0.317 0.669 0.648 Cd
0.418 0.130 0.289 Cd
0.500 0.000 0.500 Cd
0.582 0.870 0.711 Cd
0.683 0.331 0.352 Cd
0.695 0.500 0.195 Cd
0.841 0.130 0.711 Cd
0.979 0.331 0.648 Cd
```

Main lines, sorted by position (10 to 90 degrees two-theta):
2θ/deg	I_rel
28.83	34
29.78	100
30.37	69
32.63	60
34.25	38
34.62	80
35.51	38
38.25	52
38.73	44
57.49	31

---

No. 4
Structure and calculated powder diffraction line list of Rb3Cd5 (a cell relaxed with PBE; Cu Kα).

Atomic structure:
```
Rb3Cd5
1.0
3.693 -9.522 0.000
3.693 9.522 0.000
-1.553 0.000 9.168
Rb Cd
6 10
direct
0.144 0.144 0.704 Rb
0.161 0.839 0.000 Rb
0.220 0.780 0.500 Rb
0.780 0.220 0.500 Rb
0.839 0.161 0.000 Rb
0.856 0.856 0.296 Rb
0.259 0.422 0.382 Cd
0.321 0.629 0.838 Cd
0.358 0.358 0.100 Cd
0.371 0.679 0.162 Cd
0.422 0.259 0.382 Cd
0.578 0.741 0.618 Cd
0.629 0.321 0.838 Cd
0.642 0.642 0.900 Cd
0.679 0.371 0.162 Cd
0.741 0.578 0.618 Cd
```

Main lines, sorted by position (10 to 90 degrees two-theta):
2θ/deg	I_rel
13.02	100
26.20	45
26.46	37
27.45	52
28.40	86
29.79	84
30.13	65
31.17	48
31.68	37
39.45	41

---

No. 5
Structure and calculated powder diffraction line list of Rb12Cd (a cell relaxed with PBE; Cu Kα).

Atomic structure:
```
Rb12Cd
1.0
-6.454 6.454 6.454
6.454 -6.454 6.454
6.454 6.454 -6.454
Rb Cd
12 1
direct
0.130 0.305 0.826 Rb
0.174 0.479 0.305 Rb
0.174 0.870 0.695 Rb
0.305 0.174 0.479 Rb
0.305 0.826 0.130 Rb
0.479 0.305 0.174 Rb
0.521 0.695 0.826 Rb
0.695 0.174 0.870 Rb
0.695 0.826 0.521 Rb
0.826 0.130 0.305 Rb
0.826 0.521 0.695 Rb
0.870 0.695 0.174 Rb
0.000 0.000 0.000 Cd
```

Main lines, sorted by position (10 to 90 degrees two-theta):
2θ/deg	I_rel
21.77	100
23.88	35
25.82	88
40.76	50
42.00	17
43.20	39
47.79	16
49.96	18
59.96	17
60.90	16

---

No. 6
Structure and calculated powder diffraction line list of RbCd3Re (a cell relaxed with PBE; Cu Kα).

Atomic structure:
```
RbCd3Re
1.0
5.414 0.000 0.000
0.000 5.414 0.000
0.000 0.000 5.414
Rb Cd Re
1 3 1
direct
0.000 0.000 0.000 Rb
0.000 0.500 0.500 Cd
0.500 0.000 0.500 Cd
0.500 0.500 0.000 Cd
0.500 0.500 0.500 Re
```

Main lines, sorted by position (10 to 90 degrees two-theta):
2θ/deg	I_rel
16.37	65
23.24	31
28.56	32
33.09	100
37.14	35
47.50	71
50.58	18
59.12	24
79.12	31
88.48	24

---

No. 7
Structure and calculated powder diffraction line list of RbCd3Rh (a cell relaxed with PBE; Cu Kα).

Atomic structure:
```
RbCd3Rh
1.0
3.725 2.151 5.906
-3.725 2.151 5.906
0.000 -4.301 5.906
Rb Cd Rh
2 6 2
direct
0.097 0.097 0.097 Rb
0.903 0.903 0.903 Rb
0.140 0.561 0.561 Cd
0.439 0.439 0.860 Cd
0.439 0.860 0.439 Cd
0.561 0.140 0.561 Cd
0.561 0.561 0.140 Cd
0.860 0.439 0.439 Cd
0.304 0.304 0.304 Rh
0.696 0.696 0.696 Rh
```

Main lines, sorted by position (10 to 90 degrees two-theta):
2θ/deg	I_rel
14.61	50
28.11	86
30.27	37
34.39	30
37.71	100
38.26	54
44.85	26
48.90	39
59.53	19
74.24	18

---

No. 8
Structure and calculated powder diffraction line list of Rb3Cd2S4 (a cell relaxed with PBE; Cu Kα).

Atomic structure:
```
Rb3Cd2S4
1.0
8.764 -2.206 0.000
8.764 2.206 0.000
-3.223 0.000 7.120
Rb Cd S
3 2 4
direct
0.000 0.000 0.000 Rb
0.130 0.130 0.537 Rb
0.870 0.870 0.463 Rb
0.331 0.331 0.042 Cd
0.669 0.669 0.958 Cd
0.211 0.211 0.165 S
0.479 0.479 0.297 S
0.521 0.521 0.703 S
0.789 0.789 0.835 S
```

Main lines, sorted by position (10 to 90 degrees two-theta):
2θ/deg	I_rel
12.43	44
12.80	40
25.01	44
25.55	27
25.92	100
30.94	53
32.04	88
32.66	22
33.68	25
40.91	38